# Bi4O9
Computed powder XRD pattern, λ = 1.5418 Å (Cu Kα). Input: DFT lattice parameters and positions (GGA-PBE).
No peak broadening, texture or thermal motion is included.

Structural model:
a = 10.4564 Å, b = 10.4564 Å, c = 4.1215 Å
α = 90.00°, β = 90.00°, γ = 90.00°
Positions (direct):
Bi 0.0328 0.8375 0.0028
Bi 0.1625 0.5328 0.9972
Bi 0.3375 0.9672 0.9972
Bi 0.4672 0.6625 0.0028
Bi 0.5328 0.3375 0.9972
Bi 0.6625 0.0328 0.0028
Bi 0.8375 0.4672 0.0028
Bi 0.9672 0.1625 0.9972
O 0.0167 0.8007 0.5026
O 0.0257 0.3705 0.9986
O 0.1295 0.0257 0.9986
O 0.1993 0.5167 0.4974
O 0.2500 0.7500 0.0000
O 0.3007 0.9833 0.4974
O 0.3705 0.4743 0.9986
O 0.4743 0.1295 0.9986
O 0.4833 0.6993 0.5026
O 0.5167 0.3007 0.4974
O 0.5257 0.8705 0.0014
O 0.6295 0.5257 0.0014
O 0.6993 0.0167 0.5026
O 0.7500 0.2500 0.0000
O 0.8007 0.4833 0.5026
O 0.8705 0.9743 0.0014
O 0.9743 0.6295 0.0014
O 0.9833 0.1993 0.4974

Principal peaks in the range 5 to 70 degrees two-theta, in order of rising 2θ:
d 7.394, I = 23; d 5.228, I = 19; d 4.121, I = 85; d 3.697, I = 27; d 3.307, I = 100; d 2.579, I = 81; d 2.338, I = 40; d 2.034, I = 47; d 1.749, I = 34; d 1.546, I = 22


# SmInSn
Computed powder XRD pattern, λ = 1.5418 Å (Cu Kα). Input: DFT lattice parameters and positions (GGA-PBE).
No peak broadening, texture or thermal motion is included.

Structural model:
a = 4.6642 Å, b = 16.4230 Å, c = 4.3048 Å
α = 90.00°, β = 90.00°, γ = 90.00°
Positions (direct):
Sm 0.0000 0.0919 0.2500
Sm 0.0000 0.9081 0.7500
Sm 0.5000 0.4081 0.7500
Sm 0.5000 0.5919 0.2500
In 0.0000 0.2573 0.7500
In 0.0000 0.7427 0.2500
In 0.5000 0.2427 0.2500
In 0.5000 0.7573 0.7500
Sn 0.0000 0.4321 0.2500
Sn 0.0000 0.5679 0.7500
Sn 0.5000 0.0679 0.7500
Sn 0.5000 0.9321 0.2500

Principal peaks in the range 5 to 70 degrees two-theta, in order of rising 2θ:
d 2.739, I = 100; d 2.686, I = 3; d 2.332, I = 14; d 2.152, I = 11; d 1.853, I = 2; d 1.775, I = 10; d 1.692, I = 9; d 1.581, I = 19; d 1.413, I = 11; d 1.369, I = 10


# Er4TcSe
Computed powder XRD pattern, λ = 1.5418 Å (Cu Kα). Input: DFT lattice parameters and positions (GGA-PBE).
No peak broadening, texture or thermal motion is included.

Structural model:
a = 7.3208 Å, b = 4.1697 Å, c = 19.9505 Å
α = 90.00°, β = 90.00°, γ = 90.00°
Positions (direct):
Er 0.0099 0.2500 0.0746
Er 0.0652 0.2500 0.3589
Er 0.1016 0.2500 0.7869
Er 0.1538 0.2500 0.5276
Er 0.3462 0.7500 0.0276
Er 0.3984 0.7500 0.2869
Er 0.4348 0.7500 0.8589
Er 0.4901 0.7500 0.5746
Er 0.5099 0.2500 0.4254
Er 0.5652 0.2500 0.1411
Er 0.6016 0.2500 0.7131
Er 0.6538 0.2500 0.9724
Er 0.8462 0.7500 0.4724
Er 0.8984 0.7500 0.2131
Er 0.9348 0.7500 0.6411
Er 0.9901 0.7500 0.9254
Tc 0.2478 0.7500 0.4305
Tc 0.2522 0.2500 0.9305
Tc 0.7478 0.7500 0.0695
Tc 0.7522 0.2500 0.5695
Se 0.1915 0.2500 0.2133
Se 0.3085 0.7500 0.7133
Se 0.6915 0.2500 0.2867
Se 0.8085 0.7500 0.7867

Principal peaks in the range 5 to 70 degrees two-theta, in order of rising 2θ:
d 5.902, I = 21; d 2.931, I = 100; d 2.883, I = 29; d 2.751, I = 82; d 2.656, I = 77; d 2.542, I = 93; d 2.240, I = 57; d 2.192, I = 23; d 2.085, I = 54; d 1.640, I = 38


# SrCuOF2
Computed powder XRD pattern, λ = 1.5418 Å (Cu Kα). Input: DFT lattice parameters and positions (GGA-PBE).
No peak broadening, texture or thermal motion is included.

Structural model:
a = 5.6724 Å, b = 5.6724 Å, c = 5.6724 Å
α = 118.65°, β = 118.65°, γ = 92.35°
Positions (direct):
Sr 0.2500 0.7500 0.5000
Sr 0.7500 0.2500 0.5000
Cu 0.0000 0.0000 0.0000
Cu 0.5000 0.5000 0.0000
O 0.2500 0.2500 0.0000
O 0.7500 0.7500 0.0000
F 0.1832 0.6832 0.8665
F 0.3168 0.1832 0.5000
F 0.6832 0.8168 0.5000
F 0.8168 0.3168 0.1335

Principal peaks in the range 5 to 70 degrees two-theta, in order of rising 2θ:
d 2.894, I = 65; d 2.834, I = 100; d 2.458, I = 5; d 2.330, I = 12; d 2.046, I = 39; d 1.964, I = 21; d 1.659, I = 53; d 1.625, I = 22; d 1.447, I = 9; d 1.417, I = 21


# La2Sm3Te8
Computed powder XRD pattern, λ = 1.5418 Å (Cu Kα). Input: DFT lattice parameters and positions (GGA-PBE).
No peak broadening, texture or thermal motion is included.

Structural model:
a = 9.1037 Å, b = 9.1037 Å, c = 7.6976 Å
α = 106.30°, β = 106.30°, γ = 59.18°
Positions (direct):
La 0.2461 0.2461 0.1652
La 0.7539 0.7539 0.8348
Sm 0.2410 0.7590 0.5000
Sm 0.5000 0.5000 0.0000
Sm 0.7590 0.2410 0.5000
Te 0.1212 0.1212 0.4175
Te 0.1367 0.6249 0.0877
Te 0.3751 0.8633 0.9123
Te 0.3819 0.3819 0.5831
Te 0.6181 0.6181 0.4169
Te 0.6249 0.1367 0.0877
Te 0.8633 0.3751 0.9123
Te 0.8788 0.8788 0.5825

Principal peaks in the range 5 to 70 degrees two-theta, in order of rising 2θ:
d 4.904, I = 28; d 3.668, I = 47; d 3.643, I = 25; d 2.937, I = 100; d 2.926, I = 49; d 2.475, I = 54; d 2.464, I = 26; d 2.248, I = 31; d 2.228, I = 61; d 1.434, I = 28


# LiSm3Al8
Computed powder XRD pattern, λ = 1.5418 Å (Cu Kα). Input: DFT lattice parameters and positions (GGA-PBE).
No peak broadening, texture or thermal motion is included.

Structural model:
a = 9.6849 Å, b = 9.6849 Å, c = 9.6849 Å
α = 33.51°, β = 33.51°, γ = 33.51°
Positions (direct):
Li 0.0000 0.0000 0.0000
Sm 0.1214 0.1214 0.1214
Sm 0.5007 0.5007 0.5007
Sm 0.6291 0.6291 0.6291
Al 0.0643 0.0643 0.5631
Al 0.0643 0.5631 0.0643
Al 0.0653 0.5635 0.5635
Al 0.3138 0.3138 0.3138
Al 0.5631 0.0643 0.0643
Al 0.5635 0.0653 0.5635
Al 0.5635 0.5635 0.0653
Al 0.8136 0.8136 0.8136

Principal peaks in the range 5 to 70 degrees two-theta, in order of rising 2θ:
d 9.132, I = 18; d 4.763, I = 15; d 4.562, I = 49; d 3.626, I = 12; d 2.794, I = 83; d 2.382, I = 100; d 1.813, I = 12; d 1.613, I = 31; d 1.521, I = 32; d 1.397, I = 21


# Dy8Cd
Computed powder XRD pattern, λ = 1.5418 Å (Cu Kα). Input: DFT lattice parameters and positions (GGA-PBE).
No peak broadening, texture or thermal motion is included.

Structural model:
a = 7.8229 Å, b = 7.8229 Å, c = 7.8054 Å
α = 95.74°, β = 95.74°, γ = 143.12°
Positions (direct):
Dy 0.1640 0.8360 0.0000
Dy 0.1652 0.1652 0.3291
Dy 0.1667 0.4995 0.6671
Dy 0.4995 0.1667 0.6671
Dy 0.5005 0.8333 0.3329
Dy 0.8333 0.5005 0.3329
Dy 0.8348 0.8348 0.6709
Dy 0.8360 0.1640 0.0000
Cd 0.5000 0.5000 0.0000

Principal peaks in the range 5 to 70 degrees two-theta, in order of rising 2θ:
d 2.855, I = 100; d 2.472, I = 50; d 1.748, I = 36; d 1.492, I = 28; d 1.489, I = 14; d 1.427, I = 12


# Ti3HgH
Computed powder XRD pattern, λ = 1.5418 Å (Cu Kα). Input: DFT lattice parameters and positions (GGA-PBE).
No peak broadening, texture or thermal motion is included.

Structural model:
a = 8.1086 Å, b = 8.1086 Å, c = 4.7730 Å
α = 91.37°, β = 91.37°, γ = 108.33°
Positions (direct):
Ti 0.0393 0.1850 0.4811
Ti 0.0823 0.6868 0.0276
Ti 0.1810 0.5582 0.5003
Ti 0.1850 0.0393 0.9811
Ti 0.3132 0.9177 0.4724
Ti 0.4418 0.8190 0.9997
Ti 0.5582 0.1810 0.0003
Ti 0.6868 0.0823 0.5276
Ti 0.8150 0.9607 0.0189
Ti 0.8190 0.4418 0.4997
Ti 0.9177 0.3132 0.9724
Ti 0.9607 0.8150 0.5189
Hg 0.2878 0.4216 0.0026
Hg 0.4216 0.2878 0.5026
Hg 0.5784 0.7122 0.4974
Hg 0.7122 0.5784 0.9974
H 0.0136 0.9864 0.2500
H 0.2468 0.7532 0.7500
H 0.7532 0.2468 0.2500
H 0.9864 0.0136 0.7500

Principal peaks in the range 5 to 70 degrees two-theta, in order of rising 2θ:
d 7.693, I = 59; d 6.574, I = 28; d 3.077, I = 46; d 3.044, I = 18; d 3.030, I = 18; d 2.947, I = 17; d 2.384, I = 37; d 2.374, I = 100; d 2.328, I = 65; d 1.353, I = 20


# Nd4YTe7
Computed powder XRD pattern, λ = 1.5418 Å (Cu Kα). Input: DFT lattice parameters and positions (GGA-PBE).
No peak broadening, texture or thermal motion is included.

Structural model:
a = 7.6469 Å, b = 7.6469 Å, c = 13.4427 Å
α = 103.94°, β = 103.94°, γ = 33.03°
Positions (direct):
Nd 0.0000 0.0000 0.0000
Nd 0.1861 0.1861 0.7649
Nd 0.5863 0.5863 0.3833
Nd 0.8857 0.8857 0.5716
Y 0.7709 0.7709 0.1499
Te 0.1498 0.1498 0.2238
Te 0.2235 0.2235 0.5255
Te 0.3819 0.3819 0.0763
Te 0.5477 0.5477 0.6226
Te 0.6299 0.6299 0.9277
Te 0.8490 0.8490 0.7902
Te 0.9217 0.9217 0.3527

Principal peaks in the range 5 to 70 degrees two-theta, in order of rising 2θ:
d 3.345, I = 59; d 3.286, I = 61; d 3.239, I = 83; d 3.201, I = 65; d 3.088, I = 100; d 2.993, I = 83; d 2.814, I = 49; d 2.475, I = 57; d 2.193, I = 49; d 2.174, I = 70


# Pr3Pd4Au
Computed powder XRD pattern, λ = 1.5418 Å (Cu Kα). Input: DFT lattice parameters and positions (GGA-PBE).
No peak broadening, texture or thermal motion is included.

Structural model:
a = 4.0429 Å, b = 6.8694 Å, c = 14.1802 Å
α = 90.00°, β = 90.00°, γ = 90.00°
Positions (direct):
Pr 0.0000 0.0000 0.0000
Pr 0.0000 0.5000 0.1775
Pr 0.0000 0.5000 0.8225
Pr 0.5000 0.0000 0.3225
Pr 0.5000 0.0000 0.6775
Pr 0.5000 0.5000 0.5000
Pd 0.0000 0.3042 0.3721
Pd 0.0000 0.3042 0.6279
Pd 0.0000 0.6958 0.3721
Pd 0.0000 0.6958 0.6279
Pd 0.5000 0.1958 0.1279
Pd 0.5000 0.1958 0.8721
Pd 0.5000 0.8042 0.1279
Pd 0.5000 0.8042 0.8721
Au 0.0000 0.0000 0.5000
Au 0.5000 0.5000 0.0000

Principal peaks in the range 5 to 70 degrees two-theta, in order of rising 2θ:
d 3.889, I = 22; d 3.127, I = 100; d 2.574, I = 20; d 2.485, I = 61; d 2.467, I = 36; d 2.363, I = 18; d 2.290, I = 54; d 2.021, I = 30; d 1.918, I = 23; d 1.564, I = 17


# Zr3W5
Computed powder XRD pattern, λ = 1.5418 Å (Cu Kα). Input: DFT lattice parameters and positions (GGA-PBE).
No peak broadening, texture or thermal motion is included.

Structural model:
a = 7.9795 Å, b = 7.9795 Å, c = 5.3374 Å
α = 109.35°, β = 109.35°, γ = 81.53°
Positions (direct):
Zr 0.0033 0.9967 0.5000
Zr 0.1745 0.5630 0.6185
Zr 0.5508 0.9289 0.4935
Zr 0.5630 0.1745 0.1185
Zr 0.9289 0.5508 0.9935
Zr 0.9967 0.0033 0.0000
W 0.2233 0.3340 0.0272
W 0.2572 0.7255 0.2396
W 0.3340 0.2233 0.5272
W 0.3511 0.8749 0.8655
W 0.5276 0.5279 0.0288
W 0.5279 0.5276 0.5288
W 0.6837 0.8109 0.0022
W 0.7255 0.2572 0.7396
W 0.8109 0.6837 0.5022
W 0.8749 0.3511 0.3655

Principal peaks in the range 5 to 70 degrees two-theta, in order of rising 2θ:
d 7.522, I = 68; d 2.717, I = 48; d 2.669, I = 52; d 2.605, I = 64; d 2.409, I = 49; d 2.375, I = 47; d 2.352, I = 84; d 2.289, I = 100; d 2.180, I = 66; d 2.173, I = 68


# NpF6
Computed powder XRD pattern, λ = 1.5418 Å (Cu Kα). Input: DFT lattice parameters and positions (GGA-PBE).
No peak broadening, texture or thermal motion is included.

Structural model:
a = 10.1811 Å, b = 9.2256 Å, c = 5.3671 Å
α = 90.00°, β = 90.00°, γ = 90.00°
Positions (direct):
Np 0.1296 0.2500 0.0797
Np 0.3704 0.7500 0.5797
Np 0.6296 0.2500 0.4203
Np 0.8704 0.7500 0.9203
F 0.0146 0.2500 0.7757
F 0.0160 0.0965 0.2344
F 0.0160 0.4035 0.2344
F 0.2430 0.0962 0.9257
F 0.2430 0.4038 0.9257
F 0.2451 0.2500 0.3839
F 0.2549 0.7500 0.8839
F 0.2570 0.5962 0.4257
F 0.2570 0.9038 0.4257
F 0.4840 0.5965 0.7344
F 0.4840 0.9035 0.7344
F 0.4854 0.7500 0.2757
F 0.5146 0.2500 0.7243
F 0.5160 0.0965 0.2656
F 0.5160 0.4035 0.2656
F 0.7430 0.0962 0.5743
F 0.7430 0.4038 0.5743
F 0.7451 0.2500 0.1161
F 0.7549 0.7500 0.6161
F 0.7570 0.5962 0.0743
F 0.7570 0.9038 0.0743
F 0.9840 0.5965 0.7656
F 0.9840 0.9035 0.7656
F 0.9854 0.7500 0.2243

Principal peaks in the range 5 to 70 degrees two-theta, in order of rising 2θ:
d 4.748, I = 43; d 4.639, I = 26; d 4.613, I = 55; d 4.457, I = 100; d 4.222, I = 71; d 3.308, I = 32; d 2.739, I = 16; d 2.632, I = 23; d 2.436, I = 17; d 2.229, I = 20


Repeat the seventh record exactly.
# Dy8Cd
Computed powder XRD pattern, λ = 1.5418 Å (Cu Kα). Input: DFT lattice parameters and positions (GGA-PBE).
No peak broadening, texture or thermal motion is included.

Structural model:
a = 7.8229 Å, b = 7.8229 Å, c = 7.8054 Å
α = 95.74°, β = 95.74°, γ = 143.12°
Positions (direct):
Dy 0.1640 0.8360 0.0000
Dy 0.1652 0.1652 0.3291
Dy 0.1667 0.4995 0.6671
Dy 0.4995 0.1667 0.6671
Dy 0.5005 0.8333 0.3329
Dy 0.8333 0.5005 0.3329
Dy 0.8348 0.8348 0.6709
Dy 0.8360 0.1640 0.0000
Cd 0.5000 0.5000 0.0000

Principal peaks in the range 5 to 70 degrees two-theta, in order of rising 2θ:
d 2.855, I = 100; d 2.472, I = 50; d 1.748, I = 36; d 1.492, I = 28; d 1.489, I = 14; d 1.427, I = 12